Structure and computed X-ray powder pattern of ZrRe2Si (a DFT-relaxed cell (PBE, Alexandria); Cu Kα).

Cell and atoms:
```
data_ZrRe2Si
_chemical_formula_sum 'Zr1 Re2 Si1'
_space_group_name_H-M_alt 'P 1'
_space_group_IT_number 1
_cell_length_a 5.3039
_cell_length_b 5.3039
_cell_length_c 5.3039
_cell_angle_alpha 145.13
_cell_angle_beta 131.60
_cell_angle_gamma 61.02
loop_
_space_group_symop_operation_xyz
'x,y,z'
loop_
_atom_site_label
_atom_site_fract_x
_atom_site_fract_y
_atom_site_fract_z
Zr1 0.0000 0.0000 0.0000
Re1 0.2620 0.7620 0.5000
Re2 0.5047 0.5047 0.0000
Si1 0.7313 0.2313 0.5000
```

The 12 most intense peaks (2θ = 10–90°), sorted by position:
| 2θ (°) | Rel. int. |
| --- | --- |
| 22.6 | 31 |
| 29.8 | 15 |
| 36.0 | 9 |
| 39.4 | 26 |
| 40.3 | 100 |
| 41.5 | 23 |
| 58.0 | 9 |
| 58.6 | 16 |
| 72.1 | 18 |
| 72.4 | 9 |
| 75.0 | 16 |
| 87.1 | 11 |